1.
Structure and theoretical powder X-ray diffraction pattern of YTm2UO8 (the GGA-PBE geometry in Alexandria; Cu Kα (weighted mean of Kα1 and Kα2)).

The 10 most intense peaks (2θ = 10–90°), by intensity:
Position (°2θ)  I (rel.)
28.78  100
29.26  96
48.46  67
33.41  43
56.63  30
57.46  29
34.06  20
47.34  18
78.77  18
11.81  18

```
data_YTm2UO8
_cell_length_a 3.841
_cell_length_b 5.264
_cell_length_c 7.494
_cell_angle_alpha 90.00
_cell_angle_beta 90.00
_cell_angle_gamma 90.00
_space_group_name_H-M_alt 'P m m m'
_space_group_IT_number 47
loop_
_space_group_symop_operation_xyz
'x,y,z'
'-x,-y,-z'
'-x,-y,z'
'x,y,-z'
'x,-y,-z'
'-x,y,z'
'-x,y,-z'
'x,-y,z'
loop_
_atom_site_label
_atom_site_type_symbol
_atom_site_fract_x
_atom_site_fract_y
_atom_site_fract_z
_atom_site_occupancy
Y1 Y 0.000 0.000 0.000 1
Tm1 Tm 0.500 0.500 0.250 1
U1 U 0.000 0.000 0.500 1
O1 O 0.000 0.245 0.271 1
O2 O 0.500 0.236 0.500 1
O3 O 0.500 0.255 0.000 1
```

***

2.
Structure and theoretical powder X-ray diffraction pattern of Pm5Nd4Dy2 (the GGA-PBE geometry in Alexandria; Cu Kα (weighted mean of Kα1 and Kα2)).

The 10 most intense peaks (2θ = 10–90°), by intensity:
Position (°2θ)  I (rel.)
30.36  100
33.18  92
33.64  87
30.84  79
31.16  76
27.29  62
50.79  44
60.61  28
51.10  27
60.22  26

```
data_Pm5Nd4Dy2
_cell_length_a 24.393
_cell_length_b 3.574
_cell_length_c 8.814
_cell_angle_alpha 90.00
_cell_angle_beta 94.47
_cell_angle_gamma 90.00
_space_group_name_H-M_alt 'C 1 2/m 1'
_space_group_IT_number 12
loop_
_space_group_symop_operation_xyz
'x,y,z'
'-x,-y,-z'
'-x,y,-z'
'x,-y,z'
'x+1/2,y+1/2,z'
'-x+1/2,-y+1/2,-z'
'-x+1/2,y+1/2,-z'
'x+1/2,-y+1/2,z'
loop_
_atom_site_label
_atom_site_type_symbol
_atom_site_fract_x
_atom_site_fract_y
_atom_site_fract_z
_atom_site_occupancy
Pm1 Pm 0.000 0.000 0.000 1
Pm2 Pm 0.130 0.500 0.047 1
Pm3 Pm 0.184 0.500 0.475 1
Nd1 Nd 0.040 0.500 0.346 1
Nd2 Nd 0.226 0.000 0.826 1
Dy1 Dy 0.087 0.000 0.697 1
```

***

3.
Structure and theoretical powder X-ray diffraction pattern of La3Ho5 (the GGA-PBE geometry in Alexandria; Cu Kα (weighted mean of Kα1 and Kα2)).

The 10 most intense peaks (2θ = 10–90°), by intensity:
Position (°2θ)  I (rel.)
30.34  100
34.81  35
59.66  29
50.86  24
35.88  16
61.09  14
50.05  12
63.11  12
82.79  12
81.53  6

```
data_La3Ho5
_cell_length_a 10.010
_cell_length_b 10.301
_cell_length_c 5.158
_cell_angle_alpha 90.00
_cell_angle_beta 90.00
_cell_angle_gamma 90.00
_space_group_name_H-M_alt 'C m m m'
_space_group_IT_number 65
_space_group_name_Hall '-C 2 2'
loop_
_atom_site_label
_atom_site_type_symbol
_atom_site_fract_x
_atom_site_fract_y
_atom_site_fract_z
_atom_site_occupancy
La1 La 0.000 0.000 0.000 1
La2 La 0.000 0.254 0.500 1
Ho1 Ho 0.000 0.500 0.000 1
Ho2 Ho 0.250 0.000 0.500 1
Ho3 Ho 0.250 0.250 0.000 1
```

***

4.
Structure and theoretical powder X-ray diffraction pattern of Fe2Ni17 (the GGA-PBE geometry in Alexandria; Cu Kα (weighted mean of Kα1 and Kα2)).

The 10 most intense peaks (2θ = 10–90°), by intensity:
Position (°2θ)  I (rel.)
45.23  100
50.96  82
45.38  52
39.03  35
44.77  34
50.54  32
83.84  24
45.63  21
75.05  17
22.24  16

```
data_Fe2Ni17
_cell_length_a 7.9943
_cell_length_b 7.9943
_cell_length_c 12.1449
_cell_angle_alpha 90.00
_cell_angle_beta 90.00
_cell_angle_gamma 120.00
_space_group_name_H-M_alt 'R -3 m'
_space_group_IT_number 166
_space_group_name_Hall '-R 3 2"'
loop_
_atom_site_label
_atom_site_type_symbol
_atom_site_fract_x
_atom_site_fract_y
_atom_site_fract_z
_atom_site_occupancy
Fe1 Fe 0.0000 0.0000 0.1932 1
Ni1 Ni 0.0000 0.0000 0.4023 1
Ni2 Ni 0.0000 0.3137 0.5000 1
Ni3 Ni 0.0000 0.5000 0.0000 1
Ni4 Ni 0.0049 0.5025 0.6557 1
```